Entry 1:
# Dy3ZrIn4
Calculated X-ray diffraction stick pattern, Cu Kα X-rays. Input: a PBE-relaxed structure.

Atomic structure:
Cell lengths 3.787, 3.787, 14.222 Å; angles 90.00, 90.00, 90.00 degrees
Space group P4/mmm (No. 123)
Inequivalent atoms, fractional coordinates:
1 Dy 0.000 0.000 0.000 (multiplicity 1)
2 Dy 0.000 0.000 0.261 (multiplicity 2)
3 Zr 0.000 0.000 0.500 (multiplicity 1)
4 In 0.500 0.500 0.130 (multiplicity 2)
5 In 0.500 0.500 0.388 (multiplicity 2)

Most intense lines, 10 to 80 degrees two-theta, by angle:
| 2θ/deg | I_rel | hkl |
| --- | --- | --- |
| 30.21 | 5 | 1 0 3 |
| 33.46 | 58 | 1 1 0 |
| 34.60 | 100 | 1 0 4 |
| 48.05 | 21 | 2 0 0 |
| 51.40 | 7 | 0 0 8 |
| 56.89 | 3 | 1 1 7 |
| 60.56 | 39 | 2 1 4 |
| 62.74 | 15 | 1 1 8 |
| 70.31 | 7 | 2 2 0 |
| 73.00 | 9 | 2 0 8 |


Entry 2:
# Sc2Mn3Ge4
Calculated X-ray diffraction stick pattern, Cu Kα X-rays. Input: a PBE-relaxed structure.

Atomic structure:
Cell lengths 6.618, 6.667, 6.642 Å; angles 90.00, 109.92, 90.00 degrees
Space group P2_1/c (No. 14)
Inequivalent atoms, fractional coordinates:
1 Sc 0.187 0.175 0.053 (multiplicity 4)
2 Mn 0.246 0.647 0.247 (multiplicity 4)
3 Mn 0.500 0.000 0.500 (multiplicity 2)
4 Ge 0.096 0.553 0.855 (multiplicity 4)
5 Ge 0.491 0.642 0.635 (multiplicity 4)

Most intense lines, 10 to 80 degrees two-theta, by angle:
| 2θ/deg | I_rel | hkl |
| --- | --- | --- |
| 19.50 | 14 | 1 1 0 |
| 35.75 | 41 | 2 1 -2 |
| 38.59 | 100 | 2 2 -1 |
| 38.85 | 72 | 1 1 2 |
| 43.05 | 63 | 1 1 -3 |
| 43.21 | 48 | 0 3 1 |
| 43.64 | 21 | 3 0 0 |
| 44.03 | 12 | 1 3 -1 |
| 55.61 | 20 | 1 3 2 |
| 62.71 | 19 | 4 1 -3 |


Entry 3:
# RbVFe2Br8
Calculated X-ray diffraction stick pattern, Cu Kα X-rays. Input: a PBE-relaxed structure.

Atomic structure:
Cell lengths 11.008, 7.478, 9.914 Å; angles 90.00, 96.30, 90.00 degrees
Space group C2/m (No. 12)
Inequivalent atoms, fractional coordinates:
1 Rb 0.000 0.000 0.000 (multiplicity 2)
2 V 0.000 0.000 0.500 (multiplicity 2)
3 Fe 0.122 0.500 0.299 (multiplicity 4)
4 Br 0.018 0.244 0.692 (multiplicity 8)
5 Br 0.187 0.500 0.080 (multiplicity 4)
6 Br 0.235 0.000 0.498 (multiplicity 4)

Most intense lines, 10 to 80 degrees two-theta, by angle:
| 2θ/deg | I_rel | hkl |
| --- | --- | --- |
| 23.79 | 61 | 1 1 2 |
| 25.63 | 41 | 2 0 2 |
| 27.19 | 62 | 3 1 0 |
| 28.92 | 74 | 2 2 0 |
| 29.79 | 66 | 2 2 -1 |
| 30.00 | 100 | 0 2 2 |
| 30.16 | 50 | 2 0 -3 |
| 46.54 | 66 | 4 2 2 |
| 47.55 | 44 | 4 2 -3 |
| 48.70 | 41 | 0 4 0 |


Entry 4:
# Li5MgSn
Calculated X-ray diffraction stick pattern, Cu Kα X-rays. Input: a PBE-relaxed structure.

Atomic structure:
Cell lengths 9.997, 5.660, 10.381 Å; angles 90.00, 113.40, 90.00 degrees
Space group C2/c (No. 15)
Inequivalent atoms, fractional coordinates:
1 Li 0.000 0.070 0.250 (multiplicity 4)
2 Li 0.068 0.223 0.999 (multiplicity 8)
3 Li 0.227 0.121 0.757 (multiplicity 8)
4 Mg 0.000 0.470 0.750 (multiplicity 4)
5 Sn 0.250 0.250 0.500 (multiplicity 4)

Most intense lines, 10 to 80 degrees two-theta, by angle:
| 2θ/deg | I_rel | hkl |
| --- | --- | --- |
| 18.63 | 32 | 0 0 2 |
| 18.83 | 100 | 1 1 -1 |
| 19.35 | 31 | 2 0 0 |
| 20.88 | 58 | 2 0 -2 |
| 22.35 | 77 | 1 1 1 |
| 30.31 | 37 | 1 1 -3 |
| 31.23 | 39 | 3 1 -1 |
| 35.40 | 29 | 3 1 -3 |
| 36.97 | 57 | 0 2 2 |
| 37.78 | 45 | 0 0 4 |